No. 1
This entry pairs a crystal structure of Ac14Hg6Os3 with its simulated powder XRD pattern. Radiation: CuKα. Structure: a crystal structure in Alexandria, relaxed with GGA-PBE.

Most intense lines, 15° ≤ 2θ ≤ 90°, by angle:
24.56°, intensity 295, (1 0 2)
26.94°, intensity 1000, (1 2 1)
29.39°, intensity 870, (0 2 2)
30.00°, intensity 560, (0 3 1)
32.09°, intensity 798, (2 2 0)
39.27°, intensity 336, (2 0 3)
44.73°, intensity 271, (3 0 3)
47.13°, intensity 187, (2 3 2)
48.52°, intensity 242, (5 0 1)
48.98°, intensity 242, (3 3 0)

Cell and atoms:
Cell lengths 11.1578, 11.1578, 7.8197 Å; angles 90.00, 90.00, 120.00 degrees
Space group P3m1 (No. 156)
Inequivalent atoms, fractional coordinates:
Ac (0.0000, 0.0000, 0.0000) x1
Ac (0.0645, 0.5323, 0.2207) x3
Ac (0.2080, 0.4160, 0.7816) x3
Ac (0.2473, 0.1236, 0.4553) x3
Ac (0.4187, 0.2094, 0.9322) x3
Ac (0.6667, 0.3333, 0.4791) x1
Hg (0.1465, 0.2930, 0.1858) x3
Hg (0.5167, 0.0334, 0.6514) x3
Os (0.0000, 0.0000, 0.6512) x1
Os (0.3333, 0.6667, 0.0119) x1
Os (0.6667, 0.3333, 0.1277) x1



No. 2
This entry pairs a crystal structure of Y4ErSc with its simulated powder XRD pattern. Radiation: CuKα. Structure: a crystal structure in Alexandria, relaxed with GGA-PBE.

Most intense lines, 15° ≤ 2θ ≤ 90°, by angle:
22.60°, intensity 241, (0 1 2)
32.03°, intensity 1000, (1 2 1)
32.25°, intensity 354, (2 0 0)
32.35°, intensity 668, (1 0 3)
46.11°, intensity 237, (2 2 2)
46.21°, intensity 110, (0 2 4)
57.36°, intensity 122, (3 2 1)
57.50°, intensity 226, (2 2 4)
57.57°, intensity 124, (3 0 3)
63.72°, intensity 274, (2 4 0)

Cell and atoms:
Cell lengths 5.551, 6.876, 9.575 Å; angles 90.00, 90.00, 90.00 degrees
Space group Pmna (No. 53)
Inequivalent atoms, fractional coordinates:
Y (0.000, 0.245, 0.182) x4
Y (0.000, 0.246, 0.848) x4
Er (0.000, 0.500, 0.500) x2
Sc (0.000, 0.000, 0.500) x2